Entry 1:
Computed powder X-ray diffraction pattern of CaTi2Cu2O8 for Cu Ka, from a PBE-relaxed structure.
Neutral-atom scattering factors, no anomalous dispersion.

Atomic structure:
a = 6.4075 Å, b = 8.8200 Å, c = 12.5033 Å
α = 90.00°, β = 95.84°, γ = 90.00°
Fractional positions:
1 Ca 0.1506 0.1658 0.4817
2 Ca 0.1506 0.3342 0.9817
3 Ca 0.8494 0.6658 0.0183
4 Ca 0.8494 0.8342 0.5183
5 Ti 0.0876 0.0409 0.1705
6 Ti 0.0876 0.4591 0.6705
7 Ti 0.4031 0.5903 0.1515
8 Ti 0.4031 0.9097 0.6515
9 Ti 0.5969 0.0903 0.3485
10 Ti 0.5969 0.4097 0.8485
11 Ti 0.9124 0.5409 0.3295
12 Ti 0.9124 0.9591 0.8295
13 Cu 0.2407 0.6833 0.8443
14 Cu 0.2407 0.8167 0.3443
15 Cu 0.3905 0.0563 0.8707
16 Cu 0.3905 0.4437 0.3707
17 Cu 0.6095 0.5563 0.6293
18 Cu 0.6095 0.9437 0.1293
19 Cu 0.7593 0.1833 0.6557
20 Cu 0.7593 0.3167 0.1557
21 O 0.0231 0.2402 0.1379
22 O 0.0231 0.2598 0.6379
23 O 0.1114 0.0948 0.8905
24 O 0.1114 0.4052 0.3905
25 O 0.1450 0.0125 0.3178
26 O 0.1450 0.4875 0.8178
27 O 0.1879 0.5815 0.0532
28 O 0.1879 0.9185 0.5532
29 O 0.3128 0.6208 0.2955
30 O 0.3128 0.8792 0.7955
31 O 0.3282 0.5041 0.6150
32 O 0.3282 0.9959 0.1150
33 O 0.4410 0.2426 0.3981
34 O 0.4410 0.2574 0.8981
35 O 0.4908 0.1087 0.6430
36 O 0.4908 0.3913 0.1430
37 O 0.5092 0.6087 0.8570
38 O 0.5092 0.8913 0.3570
39 O 0.5590 0.7426 0.1019
40 O 0.5590 0.7574 0.6019
41 O 0.6718 0.0041 0.8850
42 O 0.6718 0.4959 0.3850
43 O 0.6872 0.1208 0.2045
44 O 0.6872 0.3792 0.7045
45 O 0.8121 0.0815 0.4468
46 O 0.8121 0.4185 0.9468
47 O 0.8550 0.5125 0.1822
48 O 0.8550 0.9875 0.6822
49 O 0.8886 0.5948 0.6095
50 O 0.8886 0.9052 0.1095
51 O 0.9769 0.7402 0.3621
52 O 0.9769 0.7598 0.8621

Top 10 peaks for 2θ = 5–70°, in order of rising 2θ:
| two_theta | I/Imax |
| --- | --- |
| 20.9 | 43 |
| 23.3 | 100 |
| 26.4 | 30 |
| 28.7 | 99 |
| 30.0 | 90 |
| 30.5 | 34 |
| 30.7 | 31 |
| 31.3 | 87 |
| 31.8 | 81 |
| 33.7 | 60 |

Entry 2:
Computed powder X-ray diffraction pattern of CaCu2P2 for Cu Ka, from a PBE-relaxed structure.
Neutral-atom scattering factors, no anomalous dispersion.

Atomic structure:
a = 5.6404 Å, b = 5.6404 Å, c = 5.6404 Å
α = 138.19°, β = 138.19°, γ = 60.62°
Fractional positions:
1 Ca 0.0000 0.0000 0.0000
2 Cu 0.2500 0.7500 0.5000
3 Cu 0.7500 0.2500 0.5000
4 P 0.3814 0.3814 0.0000
5 P 0.6186 0.6186 0.0000

Top 10 peaks for 2θ = 5–70°, in order of rising 2θ:
| two_theta | I/Imax |
| --- | --- |
| 18.2 | 33 |
| 35.5 | 20 |
| 36.6 | 100 |
| 36.9 | 10 |
| 45.0 | 45 |
| 49.0 | 10 |
| 49.2 | 29 |
| 59.6 | 9 |
| 65.6 | 14 |
| 66.3 | 12 |

Entry 3:
Computed powder X-ray diffraction pattern of CaCuP for Cu Ka, from a PBE-relaxed structure.
Neutral-atom scattering factors, no anomalous dispersion.

Atomic structure:
a = 4.0380 Å, b = 4.0380 Å, c = 7.8900 Å
α = 90.00°, β = 90.00°, γ = 120.00°
Fractional positions:
1 Ca 0.0000 0.0000 0.0000
2 Ca 0.0000 0.0000 0.5000
3 Cu 0.3333 0.6667 0.2500
4 Cu 0.6667 0.3333 0.7500
5 P 0.3333 0.6667 0.7500
6 P 0.6667 0.3333 0.2500

Top 10 peaks for 2θ = 5–70°, in order of rising 2θ:
| two_theta | I/Imax |
| --- | --- |
| 22.5 | 20 |
| 27.9 | 22 |
| 34.3 | 100 |
| 43.0 | 7 |
| 44.9 | 53 |
| 46.0 | 16 |
| 50.8 | 12 |
| 53.7 | 4 |
| 57.7 | 20 |
| 66.2 | 30 |